# Ta5Tc4
Theoretical X-ray diffraction stick pattern, Cu Kα (λ = 1.5418 Å). Input: DFT lattice parameters and positions (GGA-PBE).
Neutral-atom scattering factors, no anomalous dispersion.

Most intense lines, 10 to 90 degrees two-theta, by angle:
13.03°, d 6.794, intensity 6
26.23°, d 3.397, intensity 2
34.88°, d 2.573, intensity 3
39.77°, d 2.267, intensity 100
57.38°, d 1.606, intensity 6
57.56°, d 1.601, intensity 11
72.10°, d 1.310, intensity 12
72.22°, d 1.308, intensity 23
85.67°, d 1.134, intensity 7
85.82°, d 1.132, intensity 4

Structure:
Lattice parameters (Å, degrees): 6.9810 6.9810 6.9810 93.03 93.03 153.40
Sites, in units of the cell vectors:
Ta  0.0000  0.0000  0.0000
Ta  0.3328  0.3328  0.6656
Ta  0.3328  0.6672  0.0000
Ta  0.6672  0.3328  0.0000
Ta  0.6672  0.6672  0.3344
Tc  0.0000  0.3360  0.3360
Tc  0.0000  0.6640  0.6640
Tc  0.3360  0.0000  0.3360
Tc  0.6640  0.0000  0.6640